1.
Structure and simulated powder XRD pattern of YTmS2Cl2 (a cell relaxed with PBE; Cu Kα, 1.54184 Å).

Largest 10 diffraction maxima, sorted by position, 10 to 90 degrees two-theta:
d [Å]  I (rel.)
8.283  100
4.486  72
3.575  26
2.970  26
2.863  65
2.668  29
2.138  13
2.085  29
1.952  41
1.591  15

Structure:
```
YTmS2Cl2
1.0
3.9630 0.0000 0.0000
0.0000 5.3367 0.0000
0.0000 0.0000 8.2828
Y Tm S Cl
1 1 2 2
Direct
0.0000 0.0000 0.0000 Y
0.5000 0.5000 0.2772 Tm
0.0000 0.5000 0.0537 S
0.5000 0.0000 0.2305 S
0.0000 0.5000 0.4867 Cl
0.5000 0.0000 0.7840 Cl
```


2.
Structure and simulated powder XRD pattern of Pr2ScSi2 (a cell relaxed with PBE; Cu Kα, 1.54184 Å).

Largest 10 diffraction maxima, sorted by position, 10 to 90 degrees two-theta:
d [Å]  I (rel.)
3.805  21
3.702  14
3.439  22
3.102  100
2.762  17
2.455  24
2.197  45
1.793  20
1.698  20
1.389  18

Structure:
```
Pr2ScSi2
1.0
4.3934 0.0000 0.0000
-2.1967 3.8048 0.0000
0.0000 0.0000 16.0666
Pr Sc Si
4 2 4
Direct
0.3333 0.6667 0.0818 Pr
0.3333 0.6667 0.4182 Pr
0.6667 0.3333 0.5818 Pr
0.6667 0.3333 0.9182 Pr
0.0000 0.0000 0.2500 Sc
0.0000 0.0000 0.7500 Sc
0.3333 0.6667 0.6726 Si
0.3333 0.6667 0.8274 Si
0.6667 0.3333 0.1726 Si
0.6667 0.3333 0.3274 Si
```